Calculated PXRD pattern of CaFe4I12 for Cu Kα, from a DFT-relaxed cell (GGA-PBE, Alexandria).
Neutral-atom scattering factors, no anomalous dispersion.

Atomic structure:
Lattice parameters (Å, degrees): 10.4791 10.7695 11.0056 90.00 90.00 90.00
Space group Immm (No. 71)
Inequivalent atoms, fractional coordinates:
Ca (0.0000, 0.0000, 0.0000) x2
Fe (0.2500, 0.2500, 0.2500) x8
I (0.0000, 0.3158, 0.3069) x8
I (0.1808, 0.0000, 0.2754) x8
I (0.1859, 0.2333, 0.0000) x8

Most intense lines, 5° ≤ 2θ ≤ 70°, in order of falling intensity:
(2 2 2), 2θ = 28.8°, d = 3.102 Å, I = 100; (3 1 0), 2θ = 26.8°, d = 3.325 Å, I = 90; (1 0 3), 2θ = 25.7°, d = 3.463 Å, I = 84; (3 2 1), 2θ = 31.6°, d = 2.832 Å, I = 76; (1 3 2), 2θ = 30.9°, d = 2.891 Å, I = 72; (0 0 2), 2θ = 16.1°, d = 5.503 Å, I = 62; (3 1 2), 2θ = 31.5°, d = 2.844 Å, I = 58; (0 0 4), 2θ = 32.5°, d = 2.751 Å, I = 57; (1 3 0), 2θ = 26.2°, d = 3.396 Å, I = 57; (0 2 0), 2θ = 16.5°, d = 5.385 Å, I = 54